Starting from DFT lattice parameters and positions (GGA+U), the powder X-ray diffraction pattern of Li2HfWO6 was calculated for Cu Kα.
Peak positions follow from Bragg's law for the DFT cell and can differ from measured ones.

Atomic structure:
Lattice parameters (Å, degrees): 5.663 5.663 4.054 90.00 90.00 90.00
Fractional coordinates of all 10 atoms:
Li (0.000, 0.500, 0.000)
Li (0.500, 0.000, 0.000)
Hf (0.000, 0.000, 0.762)
W (0.500, 0.500, 0.742)
O (0.000, 0.000, 0.280)
O (0.261, 0.261, 0.812)
O (0.261, 0.739, 0.812)
O (0.500, 0.500, 0.295)
O (0.739, 0.261, 0.812)
O (0.739, 0.739, 0.812)

Principal peaks in the range 2θ from 15° to 90°, in order of rising 2θ:
(0 0 1), d 4.054, I = 53; (1 1 0), d 4.005, I = 100; (1 1 1), d 2.849, I = 60; (2 0 0), d 2.832, I = 31; (2 0 1), d 2.322, I = 23; (2 2 0), d 2.002, I = 22; (1 1 2), d 1.809, I = 24; (2 2 1), d 1.795, I = 22; (3 1 0), d 1.791, I = 21; (3 1 1), d 1.638, I = 24